# 1
The following is a simulated XRD peak list of Np2Se5. It was derived from a PBE-relaxed structure, using Cu Kα (weighted mean of Kα1 and Kα2).
No peak broadening, texture or thermal motion is included.

Crystal structure
Unit cell a=7.725 b=10.729 c=7.742 alpha=90.00 beta=90.00 gamma=90.00
Fractional positions:
Np 0.246 0.151 0.001
Np 0.246 0.849 0.501
Np 0.254 0.349 0.501
Np 0.254 0.651 0.001
Np 0.746 0.349 0.999
Np 0.746 0.651 0.499
Np 0.754 0.151 0.499
Np 0.754 0.849 0.999
Se 0.000 0.252 0.750
Se 0.000 0.748 0.250
Se 0.120 0.399 0.130
Se 0.120 0.601 0.630
Se 0.123 0.104 0.373
Se 0.123 0.896 0.873
Se 0.377 0.396 0.873
Se 0.377 0.604 0.373
Se 0.380 0.101 0.630
Se 0.380 0.899 0.130
Se 0.500 0.248 0.250
Se 0.500 0.752 0.750
Se 0.620 0.101 0.870
Se 0.620 0.899 0.370
Se 0.623 0.396 0.627
Se 0.623 0.604 0.127
Se 0.877 0.104 0.127
Se 0.877 0.896 0.627
Se 0.880 0.399 0.370
Se 0.880 0.601 0.870

The 12 most intense peaks (10 to 90 degrees two-theta), in order of falling intensity:
40.54 deg, rel. 100.0, hkl 1 2 3; 23.23 deg, rel. 48.1, hkl 1 2 1; 23.00 deg, rel. 40.5, hkl 0 0 2; 32.75 deg, rel. 36.9, hkl 2 0 2; 40.95 deg, rel. 25.7, hkl 2 4 0; 37.34 deg, rel. 23.9, hkl 1 4 1; 33.41 deg, rel. 18.2, hkl 0 4 0; 29.85 deg, rel. 17.9, hkl 1 3 1; 64.07 deg, rel. 15.4, hkl 2 4 4; 33.83 deg, rel. 15.0, hkl 2 1 2; 56.71 deg, rel. 14.6, hkl 2 6 0; 63.71 deg, rel. 12.4, hkl 1 2 5

***

# 2
The following is a simulated XRD peak list of LaGaS3. It was derived from a PBE-relaxed structure, using Cu Kα (weighted mean of Kα1 and Kα2).
No peak broadening, texture or thermal motion is included.

Crystal structure
Unit cell a=10.494 b=22.155 c=6.103 alpha=90.00 beta=90.00 gamma=90.00
Fractional positions:
La 0.021 0.242 0.000
La 0.201 0.559 0.511
La 0.246 0.920 0.507
La 0.254 0.420 0.007
La 0.299 0.059 0.011
La 0.479 0.742 0.500
La 0.521 0.258 0.000
La 0.701 0.941 0.511
La 0.746 0.580 0.507
La 0.754 0.080 0.007
La 0.799 0.441 0.011
La 0.979 0.758 0.500
Ga 0.024 0.373 0.451
Ga 0.026 0.095 0.613
Ga 0.229 0.232 0.493
Ga 0.271 0.732 0.993
Ga 0.474 0.595 0.113
Ga 0.476 0.873 0.951
Ga 0.524 0.127 0.451
Ga 0.526 0.405 0.613
Ga 0.729 0.268 0.493
Ga 0.771 0.768 0.993
Ga 0.974 0.905 0.113
Ga 0.976 0.627 0.951
S 0.012 0.370 0.816
S 0.025 0.195 0.490
S 0.031 0.109 0.991
S 0.034 0.464 0.279
S 0.144 0.675 0.769
S 0.173 0.942 0.035
S 0.187 0.318 0.285
S 0.214 0.049 0.530
S 0.229 0.764 0.329
S 0.271 0.264 0.829
S 0.286 0.549 0.030
S 0.313 0.818 0.785
S 0.327 0.442 0.535
S 0.356 0.175 0.269
S 0.466 0.964 0.779
S 0.469 0.609 0.491
S 0.475 0.695 0.990
S 0.488 0.870 0.316
S 0.512 0.130 0.816
S 0.525 0.305 0.490
S 0.531 0.391 0.991
S 0.534 0.036 0.279
S 0.644 0.825 0.769
S 0.673 0.558 0.035
S 0.687 0.182 0.285
S 0.714 0.451 0.530
S 0.729 0.736 0.329
S 0.771 0.236 0.829
S 0.786 0.951 0.030
S 0.813 0.682 0.785
S 0.827 0.058 0.535
S 0.856 0.325 0.269
S 0.966 0.536 0.779
S 0.969 0.891 0.491
S 0.975 0.805 0.990
S 0.988 0.630 0.316

The 12 most intense peaks (10 to 90 degrees two-theta), in order of falling intensity:
25.43 deg, rel. 100.0, hkl 2 3 1; 24.10 deg, rel. 32.0, hkl 0 6 0; 29.27 deg, rel. 28.4, hkl 0 0 2; 34.96 deg, rel. 25.9, hkl 2 2 2; 18.69 deg, rel. 24.7, hkl 2 2 0; 38.26 deg, rel. 23.3, hkl 0 6 2; 34.18 deg, rel. 23.2, hkl 4 0 0; 24.83 deg, rel. 19.7, hkl 0 5 1; 47.58 deg, rel. 18.7, hkl 2 8 2; 36.69 deg, rel. 17.5, hkl 2 8 0; 43.22 deg, rel. 15.4, hkl 2 9 1; 49.62 deg, rel. 13.3, hkl 2 3 3

***

# 3
The following is a simulated XRD peak list of Tc3Os. It was derived from a PBE-relaxed structure, using Cu Kα (weighted mean of Kα1 and Kα2).
No peak broadening, texture or thermal motion is included.

Crystal structure
Unit cell a=5.531 b=5.531 c=4.381 alpha=90.00 beta=90.00 gamma=120.00
Fractional positions:
Tc 0.166 0.333 0.250
Tc 0.166 0.834 0.250
Tc 0.333 0.166 0.750
Tc 0.667 0.834 0.250
Tc 0.834 0.166 0.750
Tc 0.834 0.667 0.750
Os 0.333 0.667 0.750
Os 0.667 0.333 0.250

The 12 most intense peaks (10 to 90 degrees two-theta), in order of falling intensity:
43.04 deg, rel. 100.0, hkl 2 0 1; 41.21 deg, rel. 25.2, hkl 0 0 2; 37.55 deg, rel. 24.5, hkl 2 0 0; 82.49 deg, rel. 19.8, hkl 2 2 2; 76.38 deg, rel. 18.1, hkl 2 0 3; 67.77 deg, rel. 17.0, hkl 2 2 0; 56.97 deg, rel. 14.5, hkl 2 0 2; 83.73 deg, rel. 14.4, hkl 4 0 1; 27.59 deg, rel. 9.9, hkl 1 0 1; 32.37 deg, rel. 4.4, hkl 1 1 0; 18.52 deg, rel. 4.0, hkl 1 0 0; 54.87 deg, rel. 3.2, hkl 2 1 1

***

# 4
The following is a simulated XRD peak list of RbCdN3. It was derived from a PBE-relaxed structure, using Cu Kα (weighted mean of Kα1 and Kα2).
No peak broadening, texture or thermal motion is included.

Crystal structure
Unit cell a=4.588 b=4.588 c=4.588 alpha=90.00 beta=90.00 gamma=90.00
Fractional positions:
Rb 0.000 0.000 0.000
Cd 0.500 0.500 0.500
N 0.000 0.500 0.500
N 0.500 0.000 0.500
N 0.500 0.500 0.000

The 12 most intense peaks (10 to 90 degrees two-theta), in order of falling intensity:
27.50 deg, rel. 100.0, hkl 1 1 0; 48.61 deg, rel. 41.5, hkl 2 1 1; 39.28 deg, rel. 31.4, hkl 2 0 0; 77.92 deg, rel. 20.6, hkl 3 2 1; 56.76 deg, rel. 19.6, hkl 2 2 0; 64.20 deg, rel. 17.8, hkl 3 1 0; 19.35 deg, rel. 6.4, hkl 1 0 0; 71.20 deg, rel. 6.4, hkl 2 2 2; 84.47 deg, rel. 3.0, hkl 4 0 0; 44.14 deg, rel. 2.6, hkl 2 1 0; 60.55 deg, rel. 1.0, hkl 3 0 0; 87.71 deg, rel. 0.5, hkl 4 1 0

***

# 5
The following is a simulated XRD peak list of BaZn. It was derived from a PBE-relaxed structure, using Cu Kα (weighted mean of Kα1 and Kα2).
No peak broadening, texture or thermal motion is included.

Crystal structure
Unit cell a=4.121 b=4.121 c=4.121 alpha=90.00 beta=90.00 gamma=90.00
Fractional positions:
Ba 0.000 0.000 0.000
Zn 0.500 0.500 0.500

The 12 most intense peaks (10 to 90 degrees two-theta), in order of falling intensity:
30.68 deg, rel. 100.0, hkl 1 1 0; 54.54 deg, rel. 38.3, hkl 2 1 1; 88.83 deg, rel. 19.5, hkl 3 2 1; 43.94 deg, rel. 18.3, hkl 2 0 0; 72.53 deg, rel. 16.2, hkl 3 1 0; 63.88 deg, rel. 11.8, hkl 2 2 0; 21.56 deg, rel. 10.4, hkl 1 0 0; 49.45 deg, rel. 4.6, hkl 2 1 0; 80.78 deg, rel. 4.0, hkl 2 2 2; 37.81 deg, rel. 3.3, hkl 1 1 1; 68.27 deg, rel. 2.4, hkl 3 0 0; 76.69 deg, rel. 1.4, hkl 3 1 1

***

# 6
The following is a simulated XRD peak list of NaAcTe2. It was derived from a PBE-relaxed structure, using Cu Kα (weighted mean of Kα1 and Kα2).
No peak broadening, texture or thermal motion is included.

Crystal structure
Unit cell a=8.036 b=8.036 c=8.036 alpha=90.00 beta=90.00 gamma=90.00
Fractional positions:
Na 0.000 0.000 0.000
Na 0.000 0.500 0.500
Na 0.500 0.000 0.500
Na 0.500 0.500 0.000
Ac 0.000 0.000 0.500
Ac 0.000 0.500 0.000
Ac 0.500 0.000 0.000
Ac 0.500 0.500 0.500
Te 0.250 0.250 0.250
Te 0.250 0.250 0.750
Te 0.250 0.750 0.250
Te 0.250 0.750 0.750
Te 0.750 0.250 0.250
Te 0.750 0.250 0.750
Te 0.750 0.750 0.250
Te 0.750 0.750 0.750

The 12 most intense peaks (10 to 90 degrees two-theta), in order of falling intensity:
31.49 deg, rel. 100.0, hkl 2 2 0; 56.06 deg, rel. 39.1, hkl 4 2 2; 19.13 deg, rel. 34.7, hkl 1 1 1; 37.10 deg, rel. 20.4, hkl 3 1 1; 45.13 deg, rel. 18.6, hkl 4 0 0; 74.70 deg, rel. 16.6, hkl 6 2 0; 65.73 deg, rel. 12.1, hkl 4 4 0; 49.43 deg, rel. 9.3, hkl 3 3 1; 59.80 deg, rel. 7.2, hkl 5 1 1; 69.15 deg, rel. 7.1, hkl 5 3 1; 83.30 deg, rel. 4.2, hkl 4 4 4; 86.48 deg, rel. 4.2, hkl 7 1 1